# 1
For Rb3Ga4Au, a structure optimized by DFT (PBE) gives the simulated X-ray powder pattern in this record (a wavelength of 1.5418 Å).

The 12 most intense peaks (2θ from 10° to 80°), by angle:
hkl 0 2 0, d 7.261, intensity 100.0; hkl 1 1 0, d 5.593, intensity 56.5; hkl 1 0 1, d 4.360, intensity 27.4; hkl 0 4 0, d 3.631, intensity 51.8; hkl 2 0 0, d 3.030, intensity 29.6; hkl 1 4 1, d 2.790, intensity 88.6; hkl 1 1 2, d 2.737, intensity 49.8; hkl 0 5 1, d 2.635, intensity 35.0; hkl 2 2 1, d 2.554, intensity 44.3; hkl 2 0 2, d 2.180, intensity 35.9; hkl 2 5 1, d 1.989, intensity 30.5; hkl 3 4 1, d 1.699, intensity 21.6

Structural model:
```
data_Rb3Ga4Au
_chemical_formula_sum 'Rb6 Ga8 Au2'
_symmetry_space_group_name_H-M 'P m m n'
_symmetry_Int_Tables_number 59
_cell_length_a 6.0599
_cell_length_b 14.5223
_cell_length_c 6.2765
_cell_angle_alpha 90.00
_cell_angle_beta 90.00
_cell_angle_gamma 90.00
loop_
_symmetry_equiv_pos_as_xyz
'x,y,z'
'-x,-y,-z'
'-x+1/2,-y+1/2,z'
'x+1/2,y+1/2,-z'
'x+1/2,-y,-z'
'-x+1/2,y,z'
'-x,y+1/2,-z'
'x,-y+1/2,z'
loop_
_atom_site_label
_atom_site_fract_x
_atom_site_fract_y
_atom_site_fract_z
Rb1 0.2500 0.0092 0.2164
Rb2 0.2500 0.7500 0.5156
Ga1 0.0230 0.7500 0.0230
Ga2 0.2500 0.1524 0.7048
Au1 0.2500 0.2500 0.3184
```

---

# 2
For Li3P4, a structure optimized by DFT (PBE) gives the simulated X-ray powder pattern in this record (a wavelength of 1.5418 Å).

The 12 most intense peaks (2θ from 10° to 80°), by angle:
hkl 0 0 4, d 4.798, intensity 100.0; hkl 1 0 3, d 2.953, intensity 7.3; hkl 1 0 5, d 2.515, intensity 11.8; hkl 0 0 8, d 2.399, intensity 7.0; hkl 1 1 0, d 2.354, intensity 56.0; hkl 1 0 7, d 2.115, intensity 74.2; hkl 1 0 9, d 1.796, intensity 8.9; hkl 1 1 8, d 1.680, intensity 8.7; hkl 2 0 0, d 1.664, intensity 18.0; hkl 2 0 4, d 1.572, intensity 13.2; hkl 1 0 11, d 1.545, intensity 12.7; hkl 2 1 7, d 1.308, intensity 15.5

Structural model:
```
data_Li3P4
_chemical_formula_sum 'Li6 P8'
_symmetry_space_group_name_H-M 'I 4/m m m'
_symmetry_Int_Tables_number 139
_symmetry_space_group_name_Hall '-I 4 2'
_cell_length_a 3.3285
_cell_length_b 3.3285
_cell_length_c 19.1914
_cell_angle_alpha 90.00
_cell_angle_beta 90.00
_cell_angle_gamma 90.00
loop_
_atom_site_label
_atom_site_fract_x
_atom_site_fract_y
_atom_site_fract_z
Li1 0.0000 0.0000 0.0000
Li2 0.0000 0.0000 0.2804
P1 0.0000 0.0000 0.1407
P2 0.0000 0.0000 0.4002
```

---

# 3
For NaHg6F8, a structure optimized by DFT (PBE) gives the simulated X-ray powder pattern in this record (a wavelength of 1.5418 Å).

The 12 most intense peaks (2θ from 10° to 80°), by angle:
hkl 1 0 1, d 6.430, intensity 33.0; hkl 1 1 0, d 4.085, intensity 16.8; hkl 0 2 1, d 3.448, intensity 100.0; hkl 2 0 2, d 3.215, intensity 21.7; hkl 2 1 1, d 2.635, intensity 20.9; hkl 0 2 4, d 2.605, intensity 13.9; hkl 0 0 6, d 2.566, intensity 23.0; hkl 2 0 5, d 2.323, intensity 27.6; hkl 2 2 0, d 2.043, intensity 37.1; hkl 0 2 7, d 1.868, intensity 18.8; hkl 4 0 1, d 1.757, intensity 13.8; hkl 2 2 6, d 1.598, intensity 30.2

Structural model:
```
data_NaHg6F8
_chemical_formula_sum 'Na3 Hg18 F24'
_symmetry_space_group_name_H-M 'R -3 m'
_symmetry_Int_Tables_number 166
_symmetry_space_group_name_Hall '-R 3 2"'
_cell_length_a 8.1709
_cell_length_b 8.1709
_cell_length_c 15.3974
_cell_angle_alpha 90.00
_cell_angle_beta 90.00
_cell_angle_gamma 120.00
loop_
_atom_site_label
_atom_site_fract_x
_atom_site_fract_y
_atom_site_fract_z
Na1 0.0000 0.0000 0.0000
Hg1 0.0120 0.5060 0.9157
F1 0.0000 0.0000 0.4020
F2 0.0756 0.5378 0.7778
```

---

# 4
For Cs4Ac3NdS8, a structure optimized by DFT (PBE) gives the simulated X-ray powder pattern in this record (a wavelength of 1.5418 Å).

The 12 most intense peaks (2θ from 10° to 80°), by angle:
hkl 0 0 3, d 8.117, intensity 16.3; hkl 0 0 6, d 4.059, intensity 29.4; hkl 2 0 2, d 3.661, intensity 61.1; hkl 0 2 4, d 3.247, intensity 100.0; hkl 2 0 8, d 2.385, intensity 37.8; hkl 2 2 0, d 2.216, intensity 35.6; hkl 0 2 10, d 2.056, intensity 17.7; hkl 2 2 6, d 1.945, intensity 25.3; hkl 4 0 4, d 1.830, intensity 18.9; hkl 2 2 12, d 1.497, intensity 15.1; hkl 2 4 4, d 1.411, intensity 16.2; hkl 4 2 8, d 1.310, intensity 12.9

Structural model:
```
data_Cs4Ac3NdS8
_chemical_formula_sum 'Cs12 Ac9 Nd3 S24'
_symmetry_space_group_name_H-M 'R -3 m'
_symmetry_Int_Tables_number 166
_symmetry_space_group_name_Hall '-R 3 2"'
_cell_length_a 8.8648
_cell_length_b 8.8648
_cell_length_c 24.3524
_cell_angle_alpha 90.00
_cell_angle_beta 90.00
_cell_angle_gamma 120.00
loop_
_atom_site_label
_atom_site_fract_x
_atom_site_fract_y
_atom_site_fract_z
Cs1 0.0000 0.0000 0.0000
Cs2 0.0000 0.5000 0.0000
Ac1 0.0000 0.5000 0.5000
Nd1 0.0000 0.0000 0.5000
S1 0.0000 0.0000 0.2311
S2 0.0101 0.5051 0.2298
```

---

# 5
For GaP2, a structure optimized by DFT (PBE) gives the simulated X-ray powder pattern in this record (a wavelength of 1.5418 Å).

The 12 most intense peaks (2θ from 10° to 80°), by angle:
hkl 0 0 1, d 5.637, intensity 38.0; hkl 2 0 0, d 4.632, intensity 59.4; hkl 1 1 -1, d 3.529, intensity 100.0; hkl 2 0 1, d 3.121, intensity 40.3; hkl 1 1 1, d 3.088, intensity 26.3; hkl 2 0 -2, d 2.847, intensity 37.2; hkl 0 0 2, d 2.819, intensity 28.8; hkl 3 1 -1, d 2.591, intensity 42.4; hkl 0 2 0, d 2.248, intensity 56.5; hkl 2 0 2, d 2.124, intensity 31.8; hkl 5 1 0, d 1.713, intensity 25.3; hkl 5 1 -2, d 1.706, intensity 26.8

Structural model:
```
data_GaP2
_chemical_formula_sum 'Ga4 P8'
_symmetry_space_group_name_H-M 'C 1 m 1'
_symmetry_Int_Tables_number 8
_symmetry_space_group_name_Hall 'C -2y'
_cell_length_a 9.7811
_cell_length_b 4.4968
_cell_length_c 5.9515
_cell_angle_alpha 90.00
_cell_angle_beta 108.71
_cell_angle_gamma 90.00
loop_
_atom_site_label
_atom_site_fract_x
_atom_site_fract_y
_atom_site_fract_z
Ga1 0.0000 0.0000 0.0000
Ga2 0.0676 0.5000 0.4756
P1 0.0030 0.0000 0.5973
P2 0.2524 0.0000 0.2554
P3 0.2790 0.5000 0.3556
P4 0.4102 0.0000 0.0606
```

---

# 6
For Rb2LiReO4, a structure optimized by DFT (PBE) gives the simulated X-ray powder pattern in this record (a wavelength of 1.5418 Å).

The 12 most intense peaks (2θ from 10° to 80°), by angle:
hkl 0 2 2, d 5.402, intensity 26.5; hkl 0 0 4, d 4.799, intensity 38.3; hkl 1 1 3, d 3.918, intensity 100.0; hkl 0 4 0, d 3.268, intensity 27.4; hkl 1 3 3, d 2.989, intensity 65.5; hkl 0 2 6, d 2.873, intensity 55.7; hkl 2 2 0, d 2.478, intensity 30.2; hkl 1 5 3, d 2.205, intensity 25.9; hkl 2 0 6, d 2.054, intensity 16.4; hkl 1 1 9, d 1.959, intensity 19.0; hkl 0 6 6, d 1.802, intensity 19.7; hkl 2 4 6, d 1.739, intensity 26.2

Structural model:
```
data_Rb2LiReO4
_chemical_formula_sum 'Rb16 Li8 Re8 O32'
_symmetry_space_group_name_H-M 'F d d d'
_symmetry_Int_Tables_number 70
_cell_length_a 5.3565
_cell_length_b 13.0732
_cell_length_c 19.1934
_cell_angle_alpha 90.00
_cell_angle_beta 90.00
_cell_angle_gamma 90.00
loop_
_symmetry_equiv_pos_as_xyz
'x,y,z'
'-x,-y,-z'
'-x+1/4,-y+1/4,z'
'x+1/4,y+1/4,-z'
'x,-y+1/4,-z+1/4'
'-x,y+1/4,z+1/4'
'-x+1/4,y,-z+1/4'
'x+1/4,-y,z+1/4'
'x,y+1/2,z+1/2'
'-x,-y+1/2,-z+1/2'
'-x+1/4,-y+3/4,z+1/2'
'x+1/4,y+3/4,-z+1/2'
'x,-y+3/4,-z+3/4'
'-x,y+3/4,z+3/4'
'-x+1/4,y+1/2,-z+3/4'
'x+1/4,-y+1/2,z+3/4'
'x+1/2,y,z+1/2'
'-x+1/2,-y,-z+1/2'
'-x+3/4,-y+1/4,z+1/2'
'x+3/4,y+1/4,-z+1/2'
'x+1/2,-y+1/4,-z+3/4'
'-x+1/2,y+1/4,z+3/4'
'-x+3/4,y,-z+3/4'
'x+3/4,-y,z+3/4'
'x+1/2,y+1/2,z'
'-x+1/2,-y+1/2,-z'
'-x+3/4,-y+3/4,z'
'x+3/4,y+3/4,-z'
'x+1/2,-y+3/4,-z+1/4'
'-x+1/2,y+3/4,z+1/4'
'-x+3/4,y+1/2,-z+1/4'
'x+3/4,-y+1/2,z+1/4'
loop_
_atom_site_label
_atom_site_fract_x
_atom_site_fract_y
_atom_site_fract_z
Rb1 0.1250 0.1250 0.2963
Li1 0.1250 0.1250 0.1250
Re1 0.1250 0.1250 0.6250
O1 0.1111 0.2811 0.8477
```

---

# 7
For ScAu, a structure optimized by DFT (PBE) gives the simulated X-ray powder pattern in this record (a wavelength of 1.5418 Å).

The 7 most intense peaks (2θ from 10° to 80°), by angle:
hkl 1 0 0, d 3.404, intensity 48.7; hkl 1 1 0, d 2.407, intensity 100.0; hkl 1 1 1, d 1.965, intensity 15.2; hkl 2 0 0, d 1.702, intensity 17.3; hkl 2 1 0, d 1.522, intensity 20.7; hkl 2 1 1, d 1.390, intensity 35.2; hkl 2 2 0, d 1.203, intensity 11.1

Structural model:
```
data_ScAu
_chemical_formula_sum 'Sc1 Au1'
_symmetry_space_group_name_H-M 'P m -3 m'
_symmetry_Int_Tables_number 221
_symmetry_space_group_name_Hall '-P 4 2 3'
_cell_length_a 3.4036
_cell_length_b 3.4036
_cell_length_c 3.4036
_cell_angle_alpha 90.00
_cell_angle_beta 90.00
_cell_angle_gamma 90.00
loop_
_atom_site_label
_atom_site_fract_x
_atom_site_fract_y
_atom_site_fract_z
Sc1 0.0000 0.0000 0.0000
Au1 0.5000 0.5000 0.5000
```

---

# 8
For DyYAs2Rh5, a structure optimized by DFT (PBE) gives the simulated X-ray powder pattern in this record (a wavelength of 1.5418 Å).

The 12 most intense peaks (2θ from 10° to 80°), by angle:
hkl 0 0 1, d 8.802, intensity 16.5; hkl 1 0 2, d 3.049, intensity 11.7; hkl 1 1 2, d 2.473, intensity 100.0; hkl 0 0 4, d 2.201, intensity 12.1; hkl 2 0 0, d 2.114, intensity 52.1; hkl 1 1 3, d 2.094, intensity 25.4; hkl 2 0 4, d 1.525, intensity 14.9; hkl 2 2 0, d 1.495, intensity 16.9; hkl 1 1 6, d 1.317, intensity 15.6; hkl 3 1 2, d 1.280, intensity 24.0; hkl 2 2 4, d 1.237, intensity 7.3; hkl 3 1 3, d 1.217, intensity 8.7

Structural model:
```
data_DyYAs2Rh5
_chemical_formula_sum 'Dy1 Y1 As2 Rh5'
_symmetry_space_group_name_H-M 'P 4/m m m'
_symmetry_Int_Tables_number 123
_symmetry_space_group_name_Hall '-P 4 2'
_cell_length_a 4.2289
_cell_length_b 4.2289
_cell_length_c 8.8022
_cell_angle_alpha 90.00
_cell_angle_beta 90.00
_cell_angle_gamma 90.00
loop_
_atom_site_label
_atom_site_fract_x
_atom_site_fract_y
_atom_site_fract_z
Dy1 0.0000 0.0000 0.0000
Y1 0.0000 0.0000 0.5000
As1 0.5000 0.5000 0.3535
Rh1 0.0000 0.5000 0.2310
Rh2 0.5000 0.5000 0.0000
```